Starting from DFT lattice parameters and positions (GGA-PBE), the PXRD pattern of YMg3O4 was computed for Cu Kα.

Cell and atoms:
```
data_YMg3O4
_space_group_name_H-M_alt 'P m -3 m'
_space_group_IT_number 221
_space_group_name_Hall '-P 4 2 3'
_cell_length_a 4.5475
_cell_length_b 4.5475
_cell_length_c 4.5475
_cell_angle_alpha 90.00
_cell_angle_beta 90.00
_cell_angle_gamma 90.00
loop_
_atom_site_label
_atom_site_fract_x
_atom_site_fract_y
_atom_site_fract_z
Y1 0.0000 0.0000 0.0000
Mg1 0.0000 0.5000 0.5000
O1 0.0000 0.0000 0.5000
O2 0.5000 0.5000 0.5000
```

Largest 6 diffraction maxima, in order of rising 2θ, 2θ from 5° to 70°:
index, d (Å), I (rel.)
1 0 0, 4.547, 49
1 1 0, 3.216, 41
1 1 1, 2.625, 38
2 0 0, 2.274, 100
2 1 0, 2.034, 22
2 2 0, 1.608, 60